Entry 1:
Diffraction record for K2GaPbF6. The X-ray powder pattern is theoretical, not measured: it uses a crystal structure in Alexandria, relaxed with GGA-PBE and Cu Kα (weighted mean of Kα1 and Kα2).
Lines closer than 0.1° are merged.

Most intense lines, 2θ from 10° to 90°, low angle first:
d_spacing	Rel. int.
4.811	28
4.637	75
4.220	36
4.064	33
3.798	24
3.464	28
3.121	100
2.927	27
2.238	62
1.791	30

Structural model:
```
K2GaPbF6
1.0
5.855 0.000 0.000
0.000 8.440 0.000
0.000 0.000 7.596
K Ga Pb F
4 2 2 12
Cartesian
1.464 0.159 1.287 K
1.464 4.061 1.287 K
4.391 4.379 6.310 K
4.391 8.281 6.310 K
1.464 6.330 6.075 Ga
4.391 2.110 1.521 Ga
1.464 2.110 5.120 Pb
4.391 6.330 2.476 Pb
0.023 6.330 4.829 F
0.135 6.330 7.496 F
1.464 4.364 6.126 F
1.464 8.297 6.126 F
2.793 6.330 7.496 F
2.905 6.330 4.829 F
2.950 2.110 2.767 F
3.062 2.110 0.100 F
4.391 0.144 1.470 F
4.391 4.076 1.470 F
5.720 2.110 0.100 F
5.832 2.110 2.767 F
```

Entry 2:
Diffraction record for Ca4Te3S. The X-ray powder pattern is theoretical, not measured: it uses a crystal structure in Alexandria, relaxed with GGA-PBE and Cu Kα (weighted mean of Kα1 and Kα2).
Lines closer than 0.1° are merged.

Most intense lines, 2θ from 10° to 90°, low angle first:
d_spacing	Rel. int.
3.605	25
3.118	100
2.209	36
2.201	36
1.882	13
1.802	19
1.559	11
1.396	15
1.393	15
1.274	13

Structural model:
```
Ca4Te3S
1.0
7.650 0.000 0.000
0.000 8.835 0.000
-2.544 0.000 7.178
Ca Te S
8 6 2
Cartesian
1.743 1.009 0.033 Ca
0.471 7.826 3.622 Ca
0.621 3.201 3.497 Ca
-0.651 5.634 7.086 Ca
5.757 3.201 0.093 Ca
4.485 5.634 3.682 Ca
4.635 1.009 3.556 Ca
3.362 7.826 7.145 Ca
-1.908 3.297 5.384 Te
-0.636 5.537 1.795 Te
1.917 1.090 5.384 Te
3.189 3.301 1.795 Te
1.917 5.533 5.384 Te
3.189 7.744 1.795 Te
-0.636 1.059 1.795 S
-1.908 7.775 5.384 S
```

Entry 3:
Diffraction record for TlVP2Se8. The X-ray powder pattern is theoretical, not measured: it uses a crystal structure in Alexandria, relaxed with GGA-PBE and Cu Kα (weighted mean of Kα1 and Kα2).
Lines closer than 0.1° are merged.

Most intense lines, 2θ from 10° to 90°, low angle first:
d_spacing	Rel. int.
4.333	38
3.222	33
2.970	100
2.622	71
2.532	15
1.911	26
1.802	35
1.719	12
1.573	23
1.540	13

Structural model:
```
TlVP2Se8
1.0
3.121 1.802 9.666
-3.121 1.802 9.666
0.000 -3.604 9.666
Tl V P Se
1 1 2 8
Cartesian
0.000 0.000 0.000 Tl
0.000 0.000 14.498 V
0.000 0.000 6.885 P
0.000 0.000 22.112 P
-2.043 0.110 13.112 Se
-1.117 -1.714 15.885 Se
0.000 0.000 9.037 Se
0.926 -1.824 13.112 Se
-0.926 1.824 15.885 Se
0.000 0.000 19.960 Se
1.117 1.714 13.112 Se
2.043 -0.110 15.885 Se
```

Entry 4:
Diffraction record for CdIn2Hg2Bi. The X-ray powder pattern is theoretical, not measured: it uses a crystal structure in Alexandria, relaxed with GGA-PBE and Cu Kα (weighted mean of Kα1 and Kα2).
Lines closer than 0.1° are merged.

Most intense lines, 2θ from 10° to 90°, low angle first:
d_spacing	Rel. int.
2.810	100
2.721	95
2.707	13
2.435	60
2.318	34
1.679	47
1.481	17
1.442	16
1.416	12
1.404	20

Structural model:
```
CdIn2Hg2Bi
1.0
4.636 0.000 0.000
0.000 10.083 0.000
0.000 0.000 7.065
Cd In Hg Bi
2 4 4 2
Cartesian
0.000 0.080 0.000 Cd
0.000 10.003 3.532 Cd
0.000 3.567 3.269 In
0.000 6.516 6.801 In
2.318 1.879 5.210 In
2.318 8.204 1.677 In
0.000 3.227 6.851 Hg
0.000 6.856 3.319 Hg
2.318 4.874 1.311 Hg
2.318 5.209 4.844 Hg
2.318 1.452 1.918 Bi
2.318 8.631 5.451 Bi
```

Entry 5:
Diffraction record for Pm4Pr3Sc. The X-ray powder pattern is theoretical, not measured: it uses a crystal structure in Alexandria, relaxed with GGA-PBE and Cu Kα (weighted mean of Kα1 and Kα2).
Lines closer than 0.1° are merged.

Most intense lines, 2θ from 10° to 90°, low angle first:
d_spacing	Rel. int.
3.173	24
2.930	25
2.790	100
2.153	16
1.836	7
1.830	13
1.663	21
1.556	7
1.552	15
1.533	11

Structural model:
```
Pm4Pr3Sc
1.0
11.719 0.000 0.000
0.000 7.344 0.000
0.000 0.000 6.334
Pm Pr Sc
8 6 2
Cartesian
0.000 0.921 0.000 Pm
0.000 6.405 3.108 Pm
2.851 6.408 5.276 Pm
3.009 0.936 2.109 Pm
5.859 0.939 6.275 Pm
5.859 6.422 3.167 Pm
8.710 0.936 2.109 Pm
8.868 6.408 5.276 Pm
0.000 2.754 3.128 Pr
2.916 2.778 5.228 Pr
2.944 4.566 2.061 Pr
5.859 4.589 6.295 Pr
8.775 4.566 2.061 Pr
8.803 2.778 5.228 Pr
0.000 4.591 6.279 Sc
5.859 2.753 3.112 Sc
```

Entry 6:
Diffraction record for ThMgO. The X-ray powder pattern is theoretical, not measured: it uses a crystal structure in Alexandria, relaxed with GGA-PBE and Cu Kα (weighted mean of Kα1 and Kα2).
Lines closer than 0.1° are merged.

Most intense lines, 2θ from 10° to 90°, low angle first:
d_spacing	Rel. int.
3.705	39
3.381	68
3.246	41
2.991	68
2.896	100
2.778	55
2.563	46
2.453	56
2.395	88
1.839	50

Structural model:
```
ThMgO
1.0
3.393 0.000 0.000
0.000 3.550 0.000
0.000 0.000 11.114
Th Mg O
2 2 2
Cartesian
0.848 0.887 1.335 Th
2.545 2.662 9.779 Th
0.848 2.662 6.567 Mg
2.545 0.887 4.546 Mg
0.848 0.887 9.846 O
2.545 2.662 1.267 O
```

Entry 7:
Diffraction record for La8Sm3Sc2. The X-ray powder pattern is theoretical, not measured: it uses a crystal structure in Alexandria, relaxed with GGA-PBE and Cu Kα (weighted mean of Kα1 and Kα2).
Lines closer than 0.1° are merged.

Most intense lines, 2θ from 10° to 90°, low angle first:
d_spacing	Rel. int.
3.638	17
3.089	19
3.045	52
2.922	53
2.901	26
2.725	100
2.581	16
1.935	13
1.646	22
1.412	15

Structural model:
```
La8Sm3Sc2
1.0
3.905 -10.025 0.000
3.905 10.025 0.000
0.000 0.000 5.844
La Sm Sc
8 3 2
Cartesian
3.905 7.362 0.000 La
2.336 2.229 2.922 La
3.905 3.634 0.000 La
2.336 -2.229 2.922 La
5.473 2.229 2.922 La
3.905 -3.634 0.000 La
5.473 -2.229 2.922 La
3.905 -7.362 0.000 La
0.000 0.000 2.922 Sm
2.233 0.000 0.000 Sm
5.576 0.000 0.000 Sm
3.905 5.219 2.922 Sc
3.905 -5.219 2.922 Sc
```

Entry 8:
Diffraction record for CsSn3Hg. The X-ray powder pattern is theoretical, not measured: it uses a crystal structure in Alexandria, relaxed with GGA-PBE and Cu Kα (weighted mean of Kα1 and Kα2).
Lines closer than 0.1° are merged.

Most intense lines, 2θ from 10° to 90°, low angle first:
d_spacing	Rel. int.
5.735	18
3.569	100
3.245	33
2.961	58
2.647	70
2.601	41
2.366	34
2.029	21
1.869	16
1.856	21

Structural model:
```
CsSn3Hg
1.0
2.601 -10.605 0.000
2.601 10.605 0.000
0.000 0.000 6.817
Cs Sn Hg
2 6 2
Cartesian
2.601 9.016 5.113 Cs
2.601 -9.016 1.704 Cs
2.601 6.917 1.704 Sn
2.601 4.289 0.147 Sn
2.601 4.289 3.262 Sn
2.601 -4.289 3.556 Sn
2.601 -4.289 6.670 Sn
2.601 -6.917 5.113 Sn
2.601 1.454 5.113 Hg
2.601 -1.454 1.704 Hg
```